Computed X-ray diffraction stick pattern of U2PbS5 for Cu Kα X-rays, from a GGA-PBE-relaxed structure.
Kinematic intensities with the Lorentz-polarization factor, no thermal factor.

Cell and atoms:
```
data_U2PbS5
_cell_length_a 12.309
_cell_length_b 7.715
_cell_length_c 7.403
_cell_angle_alpha 90.00
_cell_angle_beta 90.00
_cell_angle_gamma 90.00
_space_group_name_H-M_alt 'P 1'
_space_group_IT_number 1
_space_group_name_Hall 'P 1'
loop_
_atom_site_label
_atom_site_fract_x
_atom_site_fract_y
_atom_site_fract_z
U1 0.179 0.003 0.015
U2 0.179 0.497 0.015
U3 0.321 0.503 0.515
U4 0.321 0.997 0.515
U5 0.679 0.003 0.485
U6 0.679 0.497 0.485
U7 0.821 0.503 0.985
U8 0.821 0.997 0.985
Pb1 0.009 0.250 0.559
Pb2 0.491 0.750 0.059
Pb3 0.509 0.250 0.941
Pb4 0.991 0.750 0.441
S1 0.004 0.250 0.984
S2 0.123 0.535 0.668
S3 0.123 0.965 0.668
S4 0.191 0.250 0.321
S5 0.213 0.750 0.300
S6 0.287 0.250 0.800
S7 0.309 0.750 0.821
S8 0.377 0.035 0.168
S9 0.377 0.465 0.168
S10 0.496 0.750 0.484
S11 0.504 0.250 0.516
S12 0.623 0.535 0.832
S13 0.623 0.965 0.832
S14 0.691 0.250 0.179
S15 0.713 0.750 0.200
S16 0.787 0.250 0.700
S17 0.809 0.750 0.679
S18 0.877 0.035 0.332
S19 0.877 0.465 0.332
S20 0.996 0.750 0.016
```

Most intense lines, 10° ≤ 2θ ≤ 90°, low angle first:
- 2θ 24.04, d = 3.701 Å, intensity 53, (0 0 2)
- 2θ 24.81, d = 3.589 Å, intensity 100, (3 0 1)
- 2θ 27.05, d = 3.296 Å, intensity 61, (1 2 1)
- 2θ 27.28, d = 3.269 Å, intensity 57, (2 2 0)
- 2θ 34.12, d = 2.628 Å, intensity 24, (3 2 1)
- 2θ 36.68, d = 2.450 Å, intensity 62, (2 2 2)
- 2θ 37.38, d = 2.406 Å, intensity 20, (4 2 0)
- 2θ 42.76, d = 2.115 Å, intensity 26, (3 0 3)
- 2θ 44.16, d = 2.051 Å, intensity 27, (6 0 0)
- 2θ 45.39, d = 1.998 Å, intensity 42, (5 2 1)
- 2θ 47.12, d = 1.929 Å, intensity 21, (0 4 0)
- 2θ 53.97, d = 1.699 Å, intensity 27, (3 4 1)